# 1
Simulated XRD peak list
Compound: Sm6Si4S17
Radiation: CuKα
Structure: a PBE-relaxed structure

Structure:
Cell: 8.8994 9.8585 14.1407 Å, 81.95 87.41 89.02°
Space group P-1 (No. 2)
Inequivalent atoms, fractional coordinates:
Sm1 0.0118 0.2662 0.4643 x2
Sm2 0.0875 0.5814 0.1653 x2
Sm3 0.1053 0.8841 0.8140 x2
Sm4 0.3351 0.9096 0.3420 x2
Sm5 0.3632 0.5606 0.6787 x2
Sm6 0.4498 0.2380 0.0019 x2
Si1 0.2318 0.9394 0.0993 x2
Si2 0.2483 0.5594 0.9225 x2
Si3 0.2507 0.0006 0.5834 x2
Si4 0.2797 0.5560 0.3926 x2
S1 0.0077 0.8743 0.1163 x2
S2 0.0136 0.9911 0.6223 x2
S3 0.0372 0.6514 0.9523 x2
S4 0.0616 0.6413 0.7203 x2
S5 0.1088 0.7030 0.3429 x2
S6 0.1837 0.4782 0.5314 x2
S7 0.2512 0.1165 0.1695 x2
S8 0.2553 0.3805 0.8510 x2
S9 0.3015 0.8046 0.5412 x2
S10 0.3034 0.1351 0.4576 x2
S11 0.3141 0.4125 0.2968 x2
S12 0.3218 0.9832 0.9553 x2
S13 0.3418 0.4995 0.0578 x2
S14 0.3554 0.0337 0.7084 x2
S15 0.3700 0.7791 0.1667 x2
S16 0.3802 0.7147 0.8371 x2
S17 0.4887 0.6542 0.3971 x2

Principal peaks in the range 15° ≤ 2θ ≤ 90°, in order of rising 2θ:
(hkl), two_theta, I (rel.)
1 1 -2, 19.6, 39
0 2 2, 20.7, 75
1 0 3, 21.1, 74
1 0 -3, 21.9, 45
2 1 1, 22.2, 43
1 -2 1, 22.5, 100
-2 1 1, 22.9, 41
0 2 -4, 33.5, 51
1 2 5, 35.7, 51
-1 4 1, 38.1, 51


# 2
Simulated XRD peak list
Compound: Sm10S19
Radiation: CuKα
Structure: a PBE-relaxed structure

Structure:
Cell: 8.8310 8.8310 16.0414 Å, 90.00 90.00 90.00°
Space group P4_2/n (No. 86, origin choice 2)
Inequivalent atoms, fractional coordinates:
Sm1 0.0411 0.3480 0.1218 x8
Sm2 0.0551 0.3543 0.6034 x8
Sm3 0.2500 0.7500 0.1150 x4
S1 0.0301 0.8061 0.2491 x8
S2 0.0491 0.3479 0.4270 x8
S3 0.0530 0.3516 0.9379 x8
S4 0.0745 0.8876 0.7502 x8
S5 0.2500 0.2500 0.2500 x2
S6 0.2500 0.7500 0.4348 x4

Principal peaks in the range 15° ≤ 2θ ≤ 90°, in order of rising 2θ:
(hkl), two_theta, I (rel.)
0 0 4, 22.2, 29
1 2 2, 25.1, 100
3 1 0, 32.1, 46
3 1 2, 34.0, 15
3 1 4, 39.3, 59
1 2 6, 40.8, 41
2 4 0, 46.0, 27
2 4 4, 51.6, 15
5 0 2, 53.1, 27
5 0 6, 63.1, 22


# 3
Simulated XRD peak list
Compound: Sm2SnS4
Radiation: CuKα
Structure: a PBE-relaxed structure

Structure:
Cell: 8.2300 13.6430 6.8162 Å, 90.00 90.00 90.00°
Space group Ama2 (No. 40)
Inequivalent atoms, fractional coordinates:
Sm1 0.0000 0.0000 0.0000 x4
Sm2 0.2500 0.1861 0.5581 x4
Sn1 0.2500 0.3320 0.0846 x4
S1 0.0215 0.3012 0.3505 x8
S2 0.2500 0.0072 0.7303 x4
S3 0.2500 0.0609 0.2450 x4

Principal peaks in the range 15° ≤ 2θ ≤ 90°, in order of rising 2θ:
(hkl), two_theta, I (rel.)
0 3 1, 23.5, 91
2 2 0, 25.3, 22
0 0 2, 26.1, 100
2 0 2, 34.2, 29
2 2 2, 36.7, 56
0 6 0, 39.6, 14
2 5 1, 41.9, 42
4 0 0, 44.0, 18
0 3 3, 44.6, 18
4 3 1, 50.5, 24


# 4
Simulated XRD peak list
Compound: Sm2Tl2S3
Radiation: CuKα
Structure: a PBE-relaxed structure

Structure:
Cell: 15.1137 8.1138 6.7381 Å, 90.00 110.73 90.00°
Space group C2/c (No. 15)
Inequivalent atoms, fractional coordinates:
Sm1 0.1319 0.1419 0.0541 x8
Tl1 0.0923 0.4056 0.4795 x8
S1 0.0000 0.0559 0.2500 x4
S2 0.2237 0.1307 0.7586 x8

Principal peaks in the range 15° ≤ 2θ ≤ 90°, in order of rising 2θ:
(hkl), two_theta, I (rel.)
4 0 0, 25.2, 43
2 2 -1, 26.8, 100
0 0 2, 28.3, 38
4 0 -2, 30.6, 54
2 2 1, 31.2, 100
4 2 -1, 32.8, 19
1 1 2, 33.1, 21
6 2 -1, 42.2, 26
2 2 -3, 46.3, 39
0 4 2, 53.7, 16


# 5
Simulated XRD peak list
Compound: Sm2YS3
Radiation: CuKα
Structure: a PBE-relaxed structure

Structure:
Cell: 3.9683 3.9683 9.7582 Å, 90.00 90.00 120.00°
Space group P-3m1 (No. 164)
Inequivalent atoms, fractional coordinates:
Sm1 0.3333 0.6667 0.1680 x2
Y1 0.0000 0.0000 0.5000 x1
S1 0.0000 0.0000 0.0000 x1
S2 0.3333 0.6667 0.6597 x2

Principal peaks in the range 15° ≤ 2θ ≤ 90°, in order of rising 2θ:
(hkl), two_theta, I (rel.)
0 0 3, 27.5, 68
0 1 2, 31.9, 100
1 0 4, 45.6, 36
1 1 0, 45.7, 35
1 1 3, 54.2, 25
2 0 2, 56.8, 18
0 2 4, 66.6, 11
1 1 6, 75.6, 15
1 2 2, 75.8, 16
3 0 0, 84.5, 18


# 6
Simulated XRD peak list
Compound: SmZrS3
Radiation: CuKα
Structure: a PBE-relaxed structure

Structure:
Cell: 8.1301 3.7224 13.9734 Å, 90.00 90.00 90.00°
Space group Pnma (No. 62)
Inequivalent atoms, fractional coordinates:
Sm1 0.1351 0.2500 0.1962 x4
Zr1 0.1748 0.7500 0.4602 x4
S1 0.0067 0.7500 0.6165 x4
S2 0.1567 0.2500 0.7992 x4
S3 0.1589 0.7500 0.0457 x4

Principal peaks in the range 15° ≤ 2θ ≤ 90°, in order of rising 2θ:
(hkl), two_theta, I (rel.)
1 0 3, 22.0, 29
2 0 1, 22.8, 51
0 1 1, 24.8, 22
1 1 1, 27.1, 37
1 0 4, 27.8, 27
1 0 5, 33.9, 24
2 1 2, 35.1, 100
3 0 3, 38.4, 28
1 1 5, 41.9, 29
0 2 0, 48.9, 22


# 7
Simulated XRD peak list
Compound: Sr2ZrTcS6
Radiation: CuKα
Structure: a PBE-relaxed structure

Structure:
Cell: 6.7518 6.7945 6.8114 Å, 61.16 60.65 61.80°
Space group P-1 (No. 2)
Inequivalent atoms, fractional coordinates:
Sr1 0.2378 0.2675 0.2525 x2
Zr1 0.0000 0.0000 0.0000 x1
Tc1 0.5000 0.5000 0.5000 x1
S1 0.1979 0.7055 0.3141 x2
S2 0.2148 0.6787 0.8074 x2
S3 0.3496 0.1648 0.7339 x2

Principal peaks in the range 15° ≤ 2θ ≤ 90°, in order of rising 2θ:
(hkl), two_theta, I (rel.)
1 -1 0, 25.6, 37
0 1 -1, 25.7, 49
1 0 -1, 26.0, 51
1 2 1, 26.2, 100
2 1 1, 26.4, 50
2 0 2, 36.9, 58
0 2 2, 37.0, 54
2 2 0, 37.6, 44
-2 1 1, 45.6, 29
1 1 -2, 45.8, 50


# 8
Simulated XRD peak list
Compound: SrUS2
Radiation: CuKα
Structure: a PBE-relaxed structure

Structure:
Cell: 3.9896 3.9896 7.7334 Å, 90.00 90.00 120.00°
Space group P3m1 (No. 156)
Inequivalent atoms, fractional coordinates:
Sr1 0.0000 0.0000 0.0000 x1
U1 0.6667 0.3333 0.5612 x1
S1 0.0000 0.0000 0.3692 x1
S2 0.3333 0.6667 0.7654 x1

Principal peaks in the range 15° ≤ 2θ ≤ 90°, in order of rising 2θ:
(hkl), two_theta, I (rel.)
0 0 2, 23.0, 23
1 0 0, 25.8, 24
1 0 1, 28.3, 100
1 0 2, 34.8, 53
0 1 3, 43.8, 37
1 1 0, 45.5, 28
1 1 2, 51.6, 17
0 2 1, 54.4, 29
0 2 2, 58.5, 16
2 1 1, 73.5, 20


# 9
Simulated XRD peak list
Compound: Sr2ZnS
Radiation: CuKα
Structure: a PBE-relaxed structure

Structure:
Cell: 4.2512 4.2512 13.3119 Å, 90.00 90.00 90.00°
Space group P4/nmm (No. 129, origin choice 2)
Inequivalent atoms, fractional coordinates:
Sr1 0.2500 0.2500 0.1126 x2
Sr2 0.2500 0.2500 0.6618 x2
Zn1 0.2500 0.2500 0.4279 x2
S1 0.2500 0.2500 0.8873 x2

Principal peaks in the range 15° ≤ 2θ ≤ 90°, in order of rising 2θ:
(hkl), two_theta, I (rel.)
1 0 2, 24.9, 22
0 0 4, 26.8, 29
1 0 3, 29.1, 31
1 1 0, 29.7, 100
1 0 4, 34.2, 26
1 0 5, 40.0, 15
1 1 4, 40.4, 37
2 0 0, 42.5, 37
2 0 4, 51.0, 18
3 1 0, 70.0, 23


# 10
Simulated XRD peak list
Compound: Ta2S5
Radiation: CuKα
Structure: a PBE-relaxed structure

Structure:
Cell: 15.1396 6.1968 6.6322 Å, 90.00 104.70 90.00°
Space group C2/c (No. 15)
Inequivalent atoms, fractional coordinates:
Ta1 0.1428 0.2228 0.3292 x8
S1 0.0000 0.4126 0.2500 x4
S2 0.1012 0.0866 0.9666 x8
S3 0.2012 0.4116 0.6494 x8

Principal peaks in the range 15° ≤ 2θ ≤ 90°, in order of rising 2θ:
(hkl), two_theta, I (rel.)
1 1 -1, 19.8, 100
4 0 0, 24.3, 29
3 1 -1, 24.6, 24
3 1 1, 29.4, 24
2 0 2, 33.2, 14
5 1 -1, 33.5, 14
4 2 0, 38.0, 16
1 1 -3, 43.7, 33
7 1 -1, 44.5, 30
3 3 1, 51.4, 24


# 11
Simulated XRD peak list
Compound: TaS2
Radiation: CuKα
Structure: a PBE-relaxed structure

Structure:
Cell: 5.7739 3.3332 10.8075 Å, 90.00 105.45 90.00°
Space group Pm (No. 6)
Inequivalent atoms, fractional coordinates:
Ta1 0.0000 0.0000 0.0000 x1
Ta2 0.4967 0.5000 0.0000 x1
S1 0.0889 0.5000 0.8489 x1
S2 0.2403 0.5000 0.1512 x1
S3 0.5902 0.0000 0.8498 x1
S4 0.7407 0.0000 0.1502 x1

Principal peaks in the range 15° ≤ 2θ ≤ 90°, in order of rising 2θ:
(hkl), two_theta, I (rel.)
0 0 2, 17.0, 100
1 1 0, 31.3, 95
2 0 0, 32.2, 47
1 1 1, 33.6, 96
2 0 1, 35.6, 49
1 1 2, 37.9, 97
2 0 2, 40.6, 44
1 1 3, 43.7, 72
1 1 4, 50.5, 38
3 1 -1, 55.3, 42